No. 1
Structure and simulated X-ray powder pattern of Cu3Ag7 (a structure optimized by DFT (PBE); Cu Ka).
Peak positions follow from Bragg's law for the DFT cell and can differ from measured ones.

```
Cu3Ag7
1.0
7.0022 0.0000 0.0000
0.0000 2.8816 0.0000
-1.9175 0.0000 8.0695
Cu Ag
3 7
Cartesian
0.0000 0.0000 0.0000 Cu
0.0427 1.4408 2.1738 Cu
2.5595 0.0000 6.3314 Cu
0.1485 0.0000 4.6033 Ag
0.3207 1.4408 7.1107 Ag
2.2894 0.0000 1.5355 Ag
2.5164 1.4408 4.0095 Ag
4.7516 1.4408 0.5377 Ag
4.8388 0.0000 3.0517 Ag
4.8114 1.4408 5.7320 Ag
```

Largest 6 diffraction maxima, in order of rising 2θ, 10° ≤ 2θ ≤ 90°:
d 2.331, 38.63 deg, rel. 51; d 2.325, 38.73 deg, rel. 49; d 2.315, 38.90 deg, rel. 100; d 2.046, 44.26 deg, rel. 69; d 1.944, 46.73 deg, rel. 26; d 1.225, 77.99 deg, rel. 23

No. 2
Structure and simulated X-ray powder pattern of Cu4Ag5 (a structure optimized by DFT (PBE); Cu Ka).
Peak positions follow from Bragg's law for the DFT cell and can differ from measured ones.

```
Cu4Ag5
1.0
2.8193 0.0000 0.0000
-1.4097 2.4416 0.0000
0.0000 0.0000 20.1041
Cu Ag
4 5
Cartesian
0.0000 0.0000 0.0000 Cu
0.0000 0.0000 6.3782 Cu
0.0000 0.0000 13.2666 Cu
0.0000 1.6277 4.4481 Cu
0.0000 1.6277 11.0868 Ag
0.0000 1.6277 17.9114 Ag
1.4097 0.8139 2.2076 Ag
1.4097 0.8139 8.6009 Ag
1.4097 0.8139 15.4441 Ag
```

Largest 6 diffraction maxima, in order of rising 2θ, 10° ≤ 2θ ≤ 90°:
d 2.294, 39.27 deg, rel. 100; d 2.234, 40.38 deg, rel. 26; d 1.973, 45.99 deg, rel. 58; d 1.410, 66.31 deg, rel. 19; d 1.381, 67.84 deg, rel. 16; d 1.192, 80.58 deg, rel. 19

No. 3
Structure and simulated X-ray powder pattern of Cu4Ag5 (a structure optimized by DFT (PBE); Cu Ka).
Peak positions follow from Bragg's law for the DFT cell and can differ from measured ones.

```
Cu4Ag5
1.0
4.6674 -1.4147 0.0000
4.6674 1.4147 0.0000
-4.5204 0.0000 10.3599
Cu Ag
4 5
Cartesian
-1.4014 0.0000 3.4913 Cu
-0.2715 0.0000 8.0166 Cu
5.0859 0.0000 2.3433 Cu
6.2158 0.0000 6.8686 Cu
0.0000 0.0000 0.0000 Ag
2.5187 0.0000 1.3218 Ag
1.1564 0.0000 4.5148 Ag
3.6580 0.0000 5.8452 Ag
2.2957 0.0000 9.0381 Ag
```

Largest 6 diffraction maxima, in order of rising 2θ, 10° ≤ 2θ ≤ 90°:
d 2.279, 39.55 deg, rel. 55; d 2.270, 39.71 deg, rel. 49; d 2.262, 39.84 deg, rel. 100; d 2.009, 45.14 deg, rel. 70; d 1.884, 48.31 deg, rel. 25; d 1.376, 68.15 deg, rel. 17

No. 4
Structure and simulated X-ray powder pattern of Cu3Ag7 (a structure optimized by DFT (PBE); Cu Ka).
Peak positions follow from Bragg's law for the DFT cell and can differ from measured ones.

```
Cu3Ag7
1.0
6.3385 0.0000 0.0000
0.0000 4.0096 0.0000
-0.0221 0.0000 6.3423
Cu Ag
3 7
Cartesian
0.0000 0.0000 0.0000 Cu
0.5702 2.0048 1.7755 Cu
2.3511 0.0000 1.1989 Cu
1.1725 0.0000 3.6871 Ag
1.7630 2.0048 5.7666 Ag
3.0202 2.0048 3.0257 Ag
3.7179 0.0000 5.0496 Ag
4.4266 2.0048 0.5618 Ag
5.0130 0.0000 2.3947 Ag
5.6419 2.0048 4.3615 Ag
```

Largest 6 diffraction maxima, in order of rising 2θ, 10° ≤ 2θ ≤ 90°:
d 2.315, 38.90 deg, rel. 100; d 2.005, 45.23 deg, rel. 48; d 1.419, 65.82 deg, rel. 14; d 1.417, 65.94 deg, rel. 14; d 1.211, 79.09 deg, rel. 5; d 1.209, 79.23 deg, rel. 22